(1)
Diffraction record for MgMo2HO6. The powder XRD pattern is computed, not measured: it uses the PBE+U geometry in the Materials Project and CuKα.
Neutral-atom scattering factors, no anomalous dispersion.

Principal peaks in the range 10° ≤ 2θ ≤ 90°, by intensity:
d [Å]	I (rel.)
3.598	100
7.822	66
3.788	54
3.723	44
2.607	40
2.026	25
1.934	20
2.493	18

Structure:
```
data_MgMo2HO6
_chemical_formula_sum 'Mg1 Mo2 H1 O6'
_cell_length_a 3.870
_cell_length_b 4.052
_cell_length_c 7.993
_cell_angle_alpha 89.74
_cell_angle_beta 78.13
_cell_angle_gamma 89.85
_space_group_name_H-M_alt 'P 1'
_space_group_IT_number 1
loop_
_space_group_symop_operation_xyz
'x,y,z'
loop_
_atom_site_label
_atom_site_fract_x
_atom_site_fract_y
_atom_site_fract_z
Mg1 0.000 0.000 0.000
Mo1 0.240 0.497 0.627
Mo2 0.373 0.001 0.311
H1 0.345 0.495 0.943
O1 0.116 0.503 0.906
O2 0.258 0.996 0.581
O3 0.353 0.495 0.360
O4 0.482 0.008 0.054
O5 0.734 0.494 0.641
O6 0.883 0.989 0.289
```



(2)
Diffraction record for MgMo2HO6. The powder XRD pattern is computed, not measured: it uses the PBE+U geometry in the Materials Project and CuKα.
Neutral-atom scattering factors, no anomalous dispersion.

Principal peaks in the range 10° ≤ 2θ ≤ 90°, by intensity:
d [Å]	I (rel.)
3.769	100
7.755	53
3.541	50
3.591	47
2.585	41
2.008	23
1.943	22
1.925	20

Structure:
```
data_MgMo2HO6
_chemical_formula_sum 'Mg2 Mo4 H2 O12'
_cell_length_a 15.513
_cell_length_b 3.886
_cell_length_c 4.016
_cell_angle_alpha 90.00
_cell_angle_beta 90.97
_cell_angle_gamma 90.00
_space_group_name_H-M_alt 'C 1 m 1'
_space_group_IT_number 8
loop_
_space_group_symop_operation_xyz
'x,y,z'
'x,-y,z'
'x+1/2,y+1/2,z'
'x+1/2,-y+1/2,z'
loop_
_atom_site_label
_atom_site_fract_x
_atom_site_fract_y
_atom_site_fract_z
Mg1 0.000 0.000 0.000
Mo1 0.163 0.500 0.945
Mo2 0.325 0.500 0.466
H1 0.499 0.000 0.669
O1 0.019 0.500 0.902
O2 0.134 0.000 0.000
O3 0.186 0.500 0.464
O4 0.302 0.500 0.971
O5 0.318 0.000 0.480
O6 0.450 0.500 0.470
```



(3)
Diffraction record for MgMo2H4O8. The powder XRD pattern is computed, not measured: it uses the PBE+U geometry in the Materials Project and CuKα.
Neutral-atom scattering factors, no anomalous dispersion.

Principal peaks in the range 10° ≤ 2θ ≤ 90°, by intensity:
d [Å]	I (rel.)
5.621	100
3.435	32
3.508	32
6.062	27
3.172	23
6.874	18
2.623	17
2.291	17

Structure:
```
data_MgMo2H4O8
_chemical_formula_sum 'Mg1 Mo2 H4 O8'
_cell_length_a 3.899
_cell_length_b 6.585
_cell_length_c 7.452
_cell_angle_alpha 68.27
_cell_angle_beta 79.77
_cell_angle_gamma 79.18
_space_group_name_H-M_alt 'P 1'
_space_group_IT_number 1
loop_
_space_group_symop_operation_xyz
'x,y,z'
loop_
_atom_site_label
_atom_site_fract_x
_atom_site_fract_y
_atom_site_fract_z
Mg1 0.000 0.000 0.000
Mo1 0.090 0.565 0.287
Mo2 0.556 0.267 0.641
H1 0.132 0.098 0.319
H2 0.301 0.613 0.835
H3 0.338 0.223 0.111
H4 0.569 0.716 0.649
O1 0.015 0.841 0.295
O2 0.047 0.345 0.597
O3 0.101 0.686 0.013
O4 0.207 0.242 0.235
O5 0.438 0.589 0.713
O6 0.487 0.127 0.934
O7 0.590 0.489 0.353
O8 0.657 0.020 0.600
```